[1]
# H5Pd2Pt2
Calculated PXRD pattern, a wavelength of 1.5418 Å. Input: a DFT-relaxed cell (GGA-PBE, Alexandria).
No peak broadening, texture or thermal motion is included.

Most intense lines, 2θ = 15–90°, most intense first:
two_theta, d/Å, I (rel.)
37.37, 2.406, 1000
37.49, 2.399, 994
37.02, 2.428, 523
36.68, 2.450, 507
66.99, 1.397, 369
53.10, 1.725, 358
68.00, 1.379, 257
25.83, 3.449, 201
66.43, 1.407, 170
66.66, 1.403, 169

Unit cell a=14.241 b=4.857 c=4.900 alpha=90.00 beta=109.88 gamma=90.00
Space group C2 (No. 5)
One atom of each set of equivalent atoms:
H (0.048, 0.000, 0.288)
H (0.048, 0.501, 0.305)
H (0.127, 0.817, 0.774)
H (0.128, 0.317, 0.980)
H (0.250, 0.417, 0.572)
Pd (0.130, 0.251, 0.609)
Pd (0.131, 0.751, 0.152)
Pt (0.000, 0.258, 0.000)
Pt (0.000, 0.758, 0.500)
Pt (0.250, 0.248, 0.228)

[2]
# H6Pd4Pt
Calculated PXRD pattern, a wavelength of 1.5418 Å. Input: a DFT-relaxed cell (GGA-PBE, Alexandria).
No peak broadening, texture or thermal motion is included.

Most intense lines, 2θ = 15–90°, most intense first:
two_theta, d/Å, I (rel.)
37.55, 2.395, 1000
67.69, 1.384, 210
37.73, 2.384, 195
54.24, 1.691, 139
68.00, 1.379, 138
80.18, 1.197, 86
67.84, 1.381, 70
54.11, 1.695, 69
22.31, 3.986, 40
24.69, 3.606, 29

Unit cell a=8.305 b=4.769 c=10.177 alpha=90.00 beta=105.82 gamma=90.00
Space group Cc (No. 9)
One atom of each set of equivalent atoms:
H (0.000, 0.003, 0.000)
H (0.011, 0.497, 0.499)
H (0.188, 0.121, 0.886)
H (0.215, 0.378, 0.294)
H (0.404, 0.009, 0.691)
H (0.416, 0.485, 0.694)
Pd (0.150, 0.243, 0.442)
Pd (0.249, 0.248, 0.739)
Pd (0.345, 0.256, 0.042)
Pd (0.451, 0.247, 0.342)
Pt (0.054, 0.254, 0.142)

[3]
# H4PdPt
Calculated PXRD pattern, a wavelength of 1.5418 Å. Input: a DFT-relaxed cell (GGA-PBE, Alexandria).
No peak broadening, texture or thermal motion is included.

Most intense lines, 2θ = 15–90°, most intense first:
two_theta, d/Å, I (rel.)
35.33, 2.540, 1000
31.79, 2.815, 952
41.98, 2.152, 608
60.05, 1.541, 440
23.55, 3.778, 410
40.90, 2.207, 346
28.73, 3.107, 334
39.53, 2.280, 262
68.23, 1.374, 258
67.69, 1.384, 214

Unit cell a=3.179 b=14.618 c=4.413 alpha=90.00 beta=90.00 gamma=90.00
Space group Cmc2_1 (No. 36)
One atom of each set of equivalent atoms:
H (0.000, 0.000, 0.000)
H (0.000, 0.186, 0.484)
H (0.000, 0.187, 0.011)
H (0.000, 0.447, 0.252)
Pd (0.000, 0.299, 0.749)
Pt (0.000, 0.091, 0.749)

[4]
# H4PdPt
Calculated PXRD pattern, a wavelength of 1.5418 Å. Input: a DFT-relaxed cell (GGA-PBE, Alexandria).
No peak broadening, texture or thermal motion is included.

Most intense lines, 2θ = 15–90°, most intense first:
two_theta, d/Å, I (rel.)
32.39, 2.764, 1000
30.06, 2.973, 827
35.54, 2.526, 809
23.80, 3.739, 681
43.35, 2.087, 663
36.85, 2.439, 658
38.47, 2.340, 654
44.77, 2.024, 606
34.84, 2.575, 569
37.57, 2.394, 529

Unit cell a=4.069 b=4.897 c=5.489 alpha=98.13 beta=109.72 gamma=95.69
Space group P-1 (No. 2)
One atom of each set of equivalent atoms:
H (0.040, 0.310, 0.113)
H (0.139, 0.917, 0.347)
H (0.306, 0.486, 0.601)
H (0.435, 0.012, 0.834)
Pd (0.346, 0.655, 0.171)
Pt (0.087, 0.783, 0.630)

[5]
# Rb2H6PdPt
Calculated PXRD pattern, a wavelength of 1.5418 Å. Input: a DFT-relaxed cell (GGA-PBE, Alexandria).
No peak broadening, texture or thermal motion is included.

Most intense lines, 2θ = 15–90°, most intense first:
two_theta, d/Å, I (rel.)
30.35, 2.945, 1000
17.39, 5.101, 823
37.68, 2.388, 737
23.99, 3.709, 485
58.85, 1.569, 410
49.13, 1.855, 353
53.94, 1.700, 243
75.92, 1.253, 193
63.16, 1.472, 154
39.06, 2.306, 142

Unit cell a=5.8896 b=5.8896 c=5.4035 alpha=90.00 beta=90.00 gamma=120.00
Space group P-3m1 (No. 164)
One atom of each set of equivalent atoms:
Rb (0.3333, 0.6667, 0.2573)
H (0.1279, 0.2557, 0.7987)
Pd (0.0000, 0.0000, 0.5000)
Pt (0.0000, 0.0000, 0.0000)

[6]
# TeHPdRuPt
Calculated PXRD pattern, a wavelength of 1.5418 Å. Input: a DFT-relaxed cell (GGA-PBE, Alexandria).
No peak broadening, texture or thermal motion is included.

Most intense lines, 2θ = 15–90°, most intense first:
two_theta, d/Å, I (rel.)
37.64, 2.390, 1000
37.91, 2.374, 792
38.41, 2.344, 619
32.38, 2.765, 569
51.59, 1.772, 281
45.12, 2.010, 277
45.58, 1.990, 231
35.38, 2.537, 227
66.11, 1.413, 187
49.67, 1.836, 159

Unit cell a=3.543 b=4.422 c=5.453 alpha=113.20 beta=108.93 gamma=90.12
Space group P1 (No. 1)
One atom of each set of equivalent atoms:
Te (0.000, 0.000, 0.000)
H (0.729, 0.482, 0.461)
Pd (0.207, 0.595, 0.420)
Ru (0.484, 0.578, 0.970)
Pt (0.769, 0.132, 0.543)

[7]
# TeHPdRuPt
Calculated PXRD pattern, a wavelength of 1.5418 Å. Input: a DFT-relaxed cell (GGA-PBE, Alexandria).
No peak broadening, texture or thermal motion is included.

Most intense lines, 2θ = 15–90°, most intense first:
two_theta, d/Å, I (rel.)
34.40, 2.607, 1000
33.95, 2.640, 960
41.09, 2.197, 758
40.83, 2.210, 747
41.73, 2.165, 739
42.52, 2.126, 678
47.06, 1.931, 543
20.50, 4.331, 318
51.08, 1.788, 275
31.28, 2.859, 221

Unit cell a=3.862 b=4.428 c=4.818 alpha=78.45 beta=67.02 gamma=89.64
Space group P1 (No. 1)
One atom of each set of equivalent atoms:
Te (0.000, 0.000, 0.000)
H (0.606, 0.468, 0.430)
Pd (0.435, 0.402, 0.111)
Ru (0.702, 0.090, 0.579)
Pt (0.160, 0.598, 0.647)

[8]
# TeHPdRuPt
Calculated PXRD pattern, a wavelength of 1.5418 Å. Input: a DFT-relaxed cell (GGA-PBE, Alexandria).
No peak broadening, texture or thermal motion is included.

Most intense lines, 2θ = 15–90°, most intense first:
two_theta, d/Å, I (rel.)
35.66, 2.518, 1000
40.61, 2.222, 986
39.97, 2.255, 335
67.41, 1.389, 210
51.85, 1.763, 199
41.05, 2.199, 132
32.41, 2.762, 130
48.41, 1.880, 122
67.86, 1.381, 119
50.78, 1.798, 116

Unit cell a=4.561 b=3.526 c=4.629 alpha=90.00 beta=102.99 gamma=90.00
Space group Pm (No. 6)
One atom of each set of equivalent atoms:
Te (0.000, 0.000, 0.000)
H (0.450, 0.500, 0.570)
Pd (0.455, 0.500, 0.988)
Ru (0.040, 0.500, 0.406)
Pt (0.582, 0.000, 0.510)

[9]
# SmH8PdPt2
Calculated PXRD pattern, a wavelength of 1.5418 Å. Input: a DFT-relaxed cell (GGA-PBE, Alexandria).
No peak broadening, texture or thermal motion is included.

Most intense lines, 2θ = 15–90°, most intense first:
two_theta, d/Å, I (rel.)
30.13, 2.966, 1000
37.73, 2.384, 611
49.02, 1.858, 263
63.47, 1.466, 243
48.03, 1.894, 232
62.64, 1.483, 175
68.12, 1.376, 111
75.50, 1.259, 105
34.10, 2.629, 102
88.38, 1.106, 102

Unit cell a=4.7681 b=4.7681 c=17.0517 alpha=90.00 beta=90.00 gamma=120.00
Space group R-3 (No. 148, hexagonal axes)
One atom of each set of equivalent atoms:
Sm (0.0000, 0.0000, 0.0000)
H (0.0000, 0.0000, 0.3281)
H (0.0047, 0.3638, 0.2247)
Pd (0.0000, 0.0000, 0.5000)
Pt (0.0000, 0.0000, 0.2335)

[10]
# SmH8Pd3Pt2
Calculated PXRD pattern, a wavelength of 1.5418 Å. Input: a DFT-relaxed cell (GGA-PBE, Alexandria).
No peak broadening, texture or thermal motion is included.

Most intense lines, 2θ = 15–90°, most intense first:
two_theta, d/Å, I (rel.)
36.34, 2.472, 1000
36.18, 2.483, 388
30.91, 2.893, 377
38.06, 2.364, 303
58.56, 1.576, 207
58.46, 1.579, 197
64.01, 1.455, 192
64.41, 1.447, 189
30.73, 2.909, 143
37.77, 2.382, 112

Unit cell a=5.7863 b=5.7863 c=14.2912 alpha=90.00 beta=90.00 gamma=120.00
Space group R3m (No. 160, hexagonal axes)
One atom of each set of equivalent atoms:
Sm (0.0000, 0.0000, 0.0000)
H (0.0000, 0.0000, 0.1543)
H (0.0000, 0.0000, 0.6190)
H (0.0117, 0.5059, 0.1189)
H (0.2132, 0.4263, 0.9494)
Pd (0.1698, 0.3395, 0.2051)
Pt (0.0000, 0.0000, 0.3745)
Pt (0.0000, 0.0000, 0.7473)

[11]
# Sn4H3Pd12Pt
Calculated PXRD pattern, a wavelength of 1.5418 Å. Input: a DFT-relaxed cell (GGA-PBE, Alexandria).
No peak broadening, texture or thermal motion is included.

Most intense lines, 2θ = 15–90°, most intense first:
two_theta, d/Å, I (rel.)
36.45, 2.465, 1000
42.34, 2.135, 766
61.43, 1.509, 445
73.58, 1.287, 288
39.49, 2.282, 222
50.11, 1.820, 156
33.18, 2.700, 145
77.44, 1.232, 133
29.59, 3.019, 111
83.13, 1.162, 105

Unit cell a=8.539 b=8.539 c=8.539 alpha=90.00 beta=90.00 gamma=90.00
Space group Im-3m (No. 229)
One atom of each set of equivalent atoms:
Sn (0.250, 0.250, 0.250)
H (0.000, 0.000, 0.500)
Pd (0.000, 0.000, 0.294)
Pd (0.000, 0.250, 0.500)
Pt (0.000, 0.000, 0.000)

[12]
# TmH4Pd2Pt
Calculated PXRD pattern, a wavelength of 1.5418 Å. Input: a DFT-relaxed cell (GGA-PBE, Alexandria).
No peak broadening, texture or thermal motion is included.

Most intense lines, 2θ = 15–90°, most intense first:
two_theta, d/Å, I (rel.)
34.95, 2.567, 1000
37.83, 2.378, 818
38.30, 2.350, 791
64.26, 1.450, 347
65.22, 1.431, 332
70.75, 1.332, 260
49.50, 1.841, 192
22.44, 3.962, 185
51.00, 1.791, 176
73.82, 1.284, 116

Unit cell a=7.162 b=6.230 c=5.135 alpha=90.00 beta=134.18 gamma=90.00
Space group C2 (No. 5)
One atom of each set of equivalent atoms:
Tm (0.000, 0.000, 0.000)
H (0.194, 0.705, 0.980)
H (0.208, 0.302, 0.402)
Pd (0.000, 0.250, 0.500)
Pd (0.000, 0.501, 0.000)
Pt (0.000, 0.749, 0.500)

[13]
# UH6PdPt
Calculated PXRD pattern, a wavelength of 1.5418 Å. Input: a DFT-relaxed cell (GGA-PBE, Alexandria).
No peak broadening, texture or thermal motion is included.

Most intense lines, 2θ = 15–90°, most intense first:
two_theta, d/Å, I (rel.)
38.01, 2.367, 1000
30.16, 2.963, 655
30.28, 2.952, 648
30.42, 2.939, 642
42.54, 2.125, 240
58.19, 1.585, 200
58.49, 1.578, 196
68.67, 1.367, 183
49.18, 1.852, 175
49.34, 1.847, 173

Unit cell a=4.734 b=8.204 c=4.251 alpha=90.00 beta=90.55 gamma=90.00
Space group C2 (No. 5)
One atom of each set of equivalent atoms:
U (0.000, 0.000, 0.000)
H (0.002, 0.496, 0.218)
H (0.244, 0.250, 0.782)
H (0.244, 0.253, 0.218)
Pd (0.000, 0.667, 0.500)
Pt (0.000, 0.333, 0.500)